No. 1
# TmAlPt3
Simulated powder XRD pattern, Cu Kα (weighted mean of Kα1 and Kα2). Input: a cell relaxed with GGA-PBE.
Peak positions follow from Bragg's law for the DFT cell and can differ from measured ones.

Atomic structure:
```
data_TmAlPt3
_chemical_formula_sum 'Tm2 Al2 Pt6'
_cell_length_a 5.9745
_cell_length_b 6.4981
_cell_length_c 5.0507
_cell_angle_alpha 90.00
_cell_angle_beta 90.00
_cell_angle_gamma 90.00
_space_group_name_H-M_alt 'P b a m'
_space_group_IT_number 55
loop_
_space_group_symop_operation_xyz
'x,y,z'
'-x,-y,-z'
'-x,-y,z'
'x,y,-z'
'x+1/2,-y+1/2,-z'
'-x+1/2,y+1/2,z'
'-x+1/2,y+1/2,-z'
'x+1/2,-y+1/2,z'
loop_
_atom_site_label
_atom_site_fract_x
_atom_site_fract_y
_atom_site_fract_z
Tm1 0.0000 0.0000 0.0000
Al1 0.0000 0.5000 0.5000
Pt1 0.0000 0.5000 0.0000
Pt2 0.1407 0.1584 0.5000
```

Most intense lines, 5° ≤ 2θ ≤ 70°, by angle:
Position (°2θ), d_spacing, Rel. int.
31.34, 2.854, 344
32.77, 2.732, 999
33.00, 2.714, 408
34.89, 2.571, 589
35.55, 2.525, 1000
36.15, 2.485, 473
37.62, 2.391, 576
41.04, 2.199, 396
48.14, 1.890, 383
65.15, 1.432, 398


No. 2
# CuAsSe4
Simulated powder XRD pattern, Cu Kα (weighted mean of Kα1 and Kα2). Input: a cell relaxed with GGA-PBE.
Peak positions follow from Bragg's law for the DFT cell and can differ from measured ones.

Atomic structure:
```
data_CuAsSe4
_chemical_formula_sum 'Cu2 As2 Se8'
_cell_length_a 5.1773
_cell_length_b 7.2882
_cell_length_c 7.1314
_cell_angle_alpha 90.00
_cell_angle_beta 90.46
_cell_angle_gamma 90.00
_space_group_name_H-M_alt 'P 1 2/c 1'
_space_group_IT_number 13
loop_
_space_group_symop_operation_xyz
'x,y,z'
'-x,-y,-z'
'-x,y,-z+1/2'
'x,-y,z+1/2'
loop_
_atom_site_label
_atom_site_fract_x
_atom_site_fract_y
_atom_site_fract_z
Cu1 0.0000 0.0889 0.2500
As1 0.5000 0.3638 0.7500
Se1 0.1651 0.3897 0.0422
Se2 0.2994 0.0929 0.5339
```

Most intense lines, 5° ≤ 2θ ≤ 70°, by angle:
Position (°2θ), d_spacing, Rel. int.
24.43, 3.643, 465
24.58, 3.622, 338
32.51, 2.754, 687
32.62, 2.745, 1000
32.77, 2.733, 470
32.99, 2.715, 452
43.02, 2.103, 459
43.36, 2.087, 347
45.56, 1.991, 519
54.64, 1.680, 373


No. 3
# SeIN
Simulated powder XRD pattern, Cu Kα (weighted mean of Kα1 and Kα2). Input: a cell relaxed with GGA-PBE.
Peak positions follow from Bragg's law for the DFT cell and can differ from measured ones.

Atomic structure:
```
data_SeIN
_chemical_formula_sum 'Se4 I4 N4'
_cell_length_a 12.8758
_cell_length_b 4.1252
_cell_length_c 8.1846
_cell_angle_alpha 90.00
_cell_angle_beta 92.41
_cell_angle_gamma 90.00
_space_group_name_H-M_alt 'P 1 21/c 1'
_space_group_IT_number 14
loop_
_space_group_symop_operation_xyz
'x,y,z'
'-x,-y,-z'
'-x,y+1/2,-z+1/2'
'x,-y+1/2,z+1/2'
loop_
_atom_site_label
_atom_site_fract_x
_atom_site_fract_y
_atom_site_fract_z
Se1 0.1773 0.2500 0.3700
I1 0.1769 0.7499 0.1200
N1 0.4806 0.5785 0.4525
```

Most intense lines, 5° ≤ 2θ ≤ 70°, by angle:
Position (°2θ), d_spacing, Rel. int.
6.87, 12.864, 1000
13.77, 6.432, 492
20.71, 4.288, 749
30.79, 2.904, 477
31.79, 2.815, 125
33.47, 2.677, 177
34.26, 2.618, 126
36.86, 2.439, 280
37.94, 2.372, 261
49.01, 1.859, 120


No. 4
# TbNd4Sm2Ho
Simulated powder XRD pattern, Cu Kα (weighted mean of Kα1 and Kα2). Input: a cell relaxed with GGA-PBE.
Peak positions follow from Bragg's law for the DFT cell and can differ from measured ones.

Atomic structure:
```
data_TbNd4Sm2Ho
_chemical_formula_sum 'Tb1 Nd4 Sm2 Ho1'
_cell_length_a 5.1381
_cell_length_b 5.1605
_cell_length_c 10.2208
_cell_angle_alpha 90.00
_cell_angle_beta 90.11
_cell_angle_gamma 90.00
_space_group_name_H-M_alt 'P 1 2/m 1'
_space_group_IT_number 10
loop_
_space_group_symop_operation_xyz
'x,y,z'
'-x,-y,-z'
'-x,y,-z'
'x,-y,z'
loop_
_atom_site_label
_atom_site_fract_x
_atom_site_fract_y
_atom_site_fract_z
Tb1 0.0000 0.0000 0.0000
Nd1 0.0004 0.5000 0.2510
Nd2 0.5002 0.0000 0.2501
Sm1 0.0000 0.0000 0.5000
Sm2 0.5000 0.5000 0.0000
Ho1 0.5000 0.5000 0.5000
```

Most intense lines, 5° ≤ 2θ ≤ 70°, by angle:
Position (°2θ), d_spacing, Rel. int.
30.14, 2.965, 1000
34.77, 2.580, 171
34.93, 2.569, 169
35.12, 2.555, 167
50.11, 1.821, 122
50.27, 1.815, 181
59.49, 1.554, 146
59.69, 1.549, 144
59.95, 1.543, 142
62.66, 1.483, 124


No. 5
# Nd2Dy6Cd
Simulated powder XRD pattern, Cu Kα (weighted mean of Kα1 and Kα2). Input: a cell relaxed with GGA-PBE.
Peak positions follow from Bragg's law for the DFT cell and can differ from measured ones.

Atomic structure:
```
data_Nd2Dy6Cd
_chemical_formula_sum 'Nd4 Dy12 Cd2'
_cell_length_a 5.4872
_cell_length_b 9.8946
_cell_length_c 11.6650
_cell_angle_alpha 90.00
_cell_angle_beta 118.00
_cell_angle_gamma 90.00
_space_group_name_H-M_alt 'P 1 21/c 1'
_space_group_IT_number 14
loop_
_space_group_symop_operation_xyz
'x,y,z'
'-x,-y,-z'
'-x,y+1/2,-z+1/2'
'x,-y+1/2,z+1/2'
loop_
_atom_site_label
_atom_site_fract_x
_atom_site_fract_y
_atom_site_fract_z
Nd1 0.2426 0.1936 0.2423
Dy1 0.1072 0.6372 0.6074
Dy2 0.1798 0.5202 0.1797
Dy3 0.4316 0.6796 0.9321
Cd1 0.5000 0.0000 0.0000
```

Most intense lines, 5° ≤ 2θ ≤ 70°, by angle:
Position (°2θ), d_spacing, Rel. int.
30.72, 2.910, 254
31.67, 2.825, 1000
32.06, 2.792, 528
32.64, 2.744, 412
37.83, 2.378, 125
46.16, 1.967, 179
50.80, 1.797, 107
56.81, 1.621, 131
56.99, 1.616, 119
57.63, 1.600, 136


No. 6
# AlSb2TePd
Simulated powder XRD pattern, Cu Kα (weighted mean of Kα1 and Kα2). Input: a cell relaxed with GGA-PBE.
Peak positions follow from Bragg's law for the DFT cell and can differ from measured ones.

Atomic structure:
```
data_AlSb2TePd
_chemical_formula_sum 'Al1 Sb2 Te1 Pd1'
_cell_length_a 5.1943
_cell_length_b 5.1943
_cell_length_c 5.4857
_cell_angle_alpha 90.00
_cell_angle_beta 90.00
_cell_angle_gamma 90.00
_space_group_name_H-M_alt 'P 4/m m m'
_space_group_IT_number 123
_space_group_name_Hall '-P 4 2'
loop_
_atom_site_label
_atom_site_fract_x
_atom_site_fract_y
_atom_site_fract_z
Al1 0.0000 0.0000 0.0000
Sb1 0.0000 0.5000 0.5000
Te1 0.5000 0.5000 0.0000
Pd1 0.5000 0.5000 0.5000
```

Most intense lines, 5° ≤ 2θ ≤ 70°, by angle:
Position (°2θ), d_spacing, Rel. int.
16.16, 5.486, 512
17.07, 5.194, 960
29.26, 3.052, 1000
32.65, 2.743, 582
34.53, 2.597, 999
37.07, 2.425, 275
48.26, 1.886, 766
49.64, 1.836, 352
58.67, 1.574, 273
60.69, 1.526, 381